[1]
For Er3Tl2Cu5S8, a DFT-relaxed cell (GGA-PBE, Alexandria) gives the calculated powder diffractogram in this record (a wavelength of 1.5418 Å).
Lines closer than 0.1° are merged.

Largest 8 diffraction maxima, sorted by position, 2θ = 5–70°:
2θ/deg  d [Å]  I (rel.)  index
22.31  3.984  42  2 0 2
25.95  3.434  100  4 0 -1
29.36  3.042  75  1 1 -3
29.93  2.985  36  3 1 -1
30.90  2.894  99  3 1 0
33.23  2.696  69  0 0 5
36.70  2.449  39  3 1 2
46.37  1.958  44  0 2 0

Unit cell a=13.856 b=3.917 c=14.490 alpha=90.00 beta=111.53 gamma=90.00
Space group Cm (No. 8)
Symmetry-distinct sites (fractional):
Er 0.000 0.000 0.000 [2 per cell]
Er 0.136 0.000 0.387 [2 per cell]
Er 0.295 0.000 0.767 [2 per cell]
Tl 0.331 0.000 0.171 [2 per cell]
Tl 0.461 0.500 0.587 [2 per cell]
Cu 0.046 0.500 0.841 [2 per cell]
Cu 0.113 0.500 0.196 [2 per cell]
Cu 0.175 0.500 0.581 [2 per cell]
Cu 0.248 0.500 0.926 [2 per cell]
Cu 0.352 0.000 0.380 [2 per cell]
S 0.020 0.000 0.190 [2 per cell]
S 0.027 0.500 0.431 [2 per cell]
S 0.140 0.500 0.023 [2 per cell]
S 0.155 0.500 0.746 [2 per cell]
S 0.259 0.500 0.344 [2 per cell]
S 0.268 0.000 0.577 [2 per cell]
S 0.348 0.000 0.968 [2 per cell]
S 0.447 0.500 0.800 [2 per cell]

***

[2]
For ErCuSb2, a DFT-relaxed cell (GGA-PBE, Alexandria) gives the calculated powder diffractogram in this record (a wavelength of 1.5418 Å).
Lines closer than 0.1° are merged.

Largest 8 diffraction maxima, sorted by position, 2θ = 5–70°:
2θ/deg  d [Å]  I (rel.)  index
27.66  3.225  11  1 0 2
30.72  2.910  9  1 1 1
34.72  2.584  100  1 1 2
41.88  2.157  34  2 0 0
51.61  1.771  12  1 0 5
57.12  1.612  10  2 0 4
60.72  1.525  11  2 2 0
68.56  1.369  10  2 1 5

Unit cell a=4.314 b=4.314 c=9.710 alpha=90.00 beta=90.00 gamma=90.00
Space group P4/nmm (No. 129, origin choice 2)
Symmetry-distinct sites (fractional):
Er 0.250 0.250 0.250 [2 per cell]
Cu 0.250 0.750 0.000 [2 per cell]
Sb 0.250 0.250 0.836 [2 per cell]
Sb 0.250 0.750 0.500 [2 per cell]

***

[3]
For Er8Cu3Sb2, a DFT-relaxed cell (GGA-PBE, Alexandria) gives the calculated powder diffractogram in this record (a wavelength of 1.5418 Å).
Lines closer than 0.1° are merged.

Largest 8 diffraction maxima, sorted by position, 2θ = 5–70°:
2θ/deg  d [Å]  I (rel.)  index
30.27  2.952  35  2 0 -2
30.49  2.932  80  2 2 -1
31.65  2.827  100  2 2 1
32.58  2.749  71  2 0 2
32.94  2.719  81  5 1 -1
34.72  2.584  37  3 1 -2
35.91  2.501  56  4 2 -1
51.70  1.768  29  0 2 3

Unit cell a=15.912 b=7.167 c=6.133 alpha=90.00 beta=96.10 gamma=90.00
Space group C2/m (No. 12)
Symmetry-distinct sites (fractional):
Er 0.070 0.000 0.338 [4 per cell]
Er 0.111 0.240 0.851 [8 per cell]
Er 0.161 0.500 0.348 [4 per cell]
Cu 0.000 0.334 0.500 [4 per cell]
Cu 0.000 0.500 0.000 [2 per cell]
Sb 0.238 0.000 0.165 [4 per cell]

***

[4]
For ErScCu4, a DFT-relaxed cell (GGA-PBE, Alexandria) gives the calculated powder diffractogram in this record (a wavelength of 1.5418 Å).
Lines closer than 0.1° are merged.

Largest 8 diffraction maxima, sorted by position, 2θ = 5–70°:
2θ/deg  d [Å]  I (rel.)  index
18.28  4.854  35  0 1 1
35.44  2.533  55  1 1 2
36.92  2.435  100  1 2 1
37.04  2.427  41  0 2 2
42.88  2.109  39  2 0 0
43.20  2.094  55  1 0 3
43.33  2.088  26  0 3 1
57.93  1.592  21  2 2 2

Unit cell a=4.218 b=6.543 c=7.238 alpha=90.00 beta=90.00 gamma=90.00
Space group Imm2 (No. 44)
Symmetry-distinct sites (fractional):
Er 0.000 0.000 0.000 [2 per cell]
Sc 0.000 0.500 0.095 [2 per cell]
Cu 0.000 0.195 0.387 [4 per cell]
Cu 0.000 0.299 0.714 [4 per cell]

***

[5]
For ErSc3Cu8, a DFT-relaxed cell (GGA-PBE, Alexandria) gives the calculated powder diffractogram in this record (a wavelength of 1.5418 Å).
Lines closer than 0.1° are merged.

Largest 8 diffraction maxima, sorted by position, 2θ = 5–70°:
2θ/deg  d [Å]  I (rel.)  index
22.79  3.902  25  1 0 1
35.10  2.557  29  1 1 0
38.53  2.337  63  0 1 3
41.55  2.173  100  1 1 2
42.26  2.139  82  2 0 1
46.55  1.951  20  0 2 2
65.25  1.430  24  1 2 3
67.37  1.390  22  3 0 2

Unit cell a=5.1138 b=5.1138 c=8.2524 alpha=90.00 beta=90.00 gamma=120.00
Space group P3m1 (No. 156)
Symmetry-distinct sites (fractional):
Er 0.0000 0.0000 0.0000 [1 per cell]
Sc 0.0000 0.0000 0.3930 [1 per cell]
Sc 0.6667 0.3333 0.4884 [1 per cell]
Sc 0.6667 0.3333 0.8691 [1 per cell]
Cu 0.1663 0.3326 0.6849 [3 per cell]
Cu 0.3333 0.6667 0.4346 [1 per cell]
Cu 0.3333 0.6667 0.9369 [1 per cell]
Cu 0.5018 0.0036 0.1894 [3 per cell]

***

[6]
For Er3CuSe6, a DFT-relaxed cell (GGA-PBE, Alexandria) gives the calculated powder diffractogram in this record (a wavelength of 1.5418 Å).
Lines closer than 0.1° are merged.

Largest 8 diffraction maxima, sorted by position, 2θ = 5–70°:
2θ/deg  d [Å]  I (rel.)  index
16.57  5.350  33  1 1 1
24.68  3.607  100  2 2 1
25.69  3.467  62  1 3 1
34.34  2.611  78  3 3 1
36.08  2.489  93  3 1 2
38.22  2.355  52  0 4 2
42.62  2.121  53  3 5 0
48.66  1.871  49  6 0 0

Unit cell a=11.223 b=12.877 c=6.906 alpha=90.00 beta=90.00 gamma=90.00
Space group Cmc2_1 (No. 36)
Symmetry-distinct sites (fractional):
Er 0.000 0.104 0.000 [4 per cell]
Er 0.180 0.402 0.095 [8 per cell]
Cu 0.000 0.291 0.639 [4 per cell]
Se 0.000 0.283 0.287 [4 per cell]
Se 0.000 0.462 0.796 [4 per cell]
Se 0.161 0.035 0.299 [8 per cell]
Se 0.172 0.236 0.811 [8 per cell]

***

[7]
For ErCuSe2, a DFT-relaxed cell (GGA-PBE, Alexandria) gives the calculated powder diffractogram in this record (a wavelength of 1.5418 Å).
Lines closer than 0.1° are merged.

Largest 8 diffraction maxima, sorted by position, 2θ = 5–70°:
2θ/deg  d [Å]  I (rel.)  index
13.80  6.417  28  0 0 1
28.87  3.093  100  0 1 1
37.89  2.374  64  0 1 2
44.45  2.038  50  1 1 0
49.85  1.829  24  1 0 3
53.87  1.702  17  2 0 1
59.80  1.547  17  2 0 2
62.99  1.476  11  1 1 3

Unit cell a=4.0764 b=4.0764 c=6.4168 alpha=90.00 beta=90.00 gamma=120.00
Space group P3m1 (No. 156)
Symmetry-distinct sites (fractional):
Er 0.0000 0.0000 0.0000 [1 per cell]
Cu 0.6667 0.3333 0.3838 [1 per cell]
Se 0.3333 0.6667 0.2704 [1 per cell]
Se 0.6667 0.3333 0.7651 [1 per cell]

***

[8]
For SrErCu2Se4, a DFT-relaxed cell (GGA-PBE, Alexandria) gives the calculated powder diffractogram in this record (a wavelength of 1.5418 Å).
Lines closer than 0.1° are merged.

Largest 8 diffraction maxima, sorted by position, 2θ = 5–70°:
2θ/deg  d [Å]  I (rel.)  index
16.76  5.288  17  1 0 1
28.46  3.136  100  1 1 2
33.90  2.644  51  2 0 2
36.54  2.459  68  2 2 0
46.95  1.935  56  3 1 2
48.43  1.879  17  1 1 4
52.63  1.739  21  4 0 0
58.90  1.568  21  2 2 4

Unit cell a=6.956 b=6.956 c=8.142 alpha=90.00 beta=90.00 gamma=90.00
Space group I-42m (No. 121)
Symmetry-distinct sites (fractional):
Sr 0.000 0.000 0.000 [2 per cell]
Er 0.000 0.000 0.500 [2 per cell]
Cu 0.000 0.500 0.250 [4 per cell]
Se 0.221 0.221 0.292 [8 per cell]